# MgTe4Mo4Se2S2
Simulated powder diffraction line list, a wavelength of 1.5418 Å. Input: a DFT-relaxed cell (GGA-PBE, the Materials Project).
No peak broadening, texture or thermal motion is included.

Largest 10 diffraction maxima, sorted by position, 10 to 90 degrees two-theta:
- 2θ 11.44, I = 98, (0 0 5)
- 2θ 30.48, I = 61, (1 0 0)
- 2θ 35.79, I = 100, (1 0 -8)
- 2θ 37.09, I = 14, (1 1 9)
- 2θ 38.50, I = 18, (1 1 10)
- 2θ 43.30, I = 55, (1 1 -13)
- 2θ 45.07, I = 16, (1 1 14)
- 2θ 54.13, I = 39, (1 2 0)
- 2θ 66.59, I = 16, (2 2 -8)
- 2θ 76.37, I = 17, (2 1 21)

Atomic structure:
Cell lengths 3.389, 3.389, 38.676 Å; angles 90.00, 90.00, 60.00 degrees
Space group P1 (No. 1)
Inequivalent atoms, fractional coordinates:
Mg1 0.000 0.000 0.000 [1 per cell]
Te1 0.046 0.005 0.176 [1 per cell]
Te2 0.046 0.005 0.273 [1 per cell]
Te3 0.713 0.672 0.364 [1 per cell]
Te4 0.713 0.672 0.461 [1 per cell]
Mo1 0.046 0.005 0.412 [1 per cell]
Mo2 0.047 0.005 0.788 [1 per cell]
Mo3 0.713 0.672 0.224 [1 per cell]
Mo4 0.713 0.672 0.600 [1 per cell]
Se1 0.713 0.672 0.745 [1 per cell]
Se2 0.713 0.672 0.831 [1 per cell]
S1 0.046 0.005 0.561 [1 per cell]
S2 0.046 0.005 0.639 [1 per cell]

***

# MgTe4Mo4Se2S2
Simulated powder diffraction line list, a wavelength of 1.5418 Å. Input: a DFT-relaxed cell (GGA-PBE, the Materials Project).
No peak broadening, texture or thermal motion is included.

Largest 10 diffraction maxima, sorted by position, 10 to 90 degrees two-theta:
- 2θ 10.39, I = 100, (0 0 5)
- 2θ 12.48, I = 13, (0 0 6)
- 2θ 30.25, I = 46, (1 1 0)
- 2θ 34.71, I = 54, (1 1 8)
- 2θ 35.82, I = 12, (2 0 9)
- 2θ 38.31, I = 11, (2 0 -11)
- 2θ 41.13, I = 62, (2 0 -13)
- 2θ 42.65, I = 17, (1 1 -14)
- 2θ 53.69, I = 28, (3 1 0)
- 2θ 54.86, I = 12, (1 1 -21)

Atomic structure:
Cell lengths 5.915, 3.414, 42.562 Å; angles 90.00, 90.11, 90.00 degrees
Space group Cm (No. 8)
Inequivalent atoms, fractional coordinates:
Mg1 0.000 0.000 0.000 [2 per cell]
Te1 0.330 0.000 0.496 [2 per cell]
Te2 0.331 0.000 0.583 [2 per cell]
Te3 0.496 0.500 0.684 [2 per cell]
Te4 0.498 0.500 0.772 [2 per cell]
Mo1 0.330 0.000 0.728 [2 per cell]
Mo2 0.331 0.000 0.107 [2 per cell]
Mo3 0.497 0.500 0.539 [2 per cell]
Mo4 0.498 0.500 0.910 [2 per cell]
Se1 0.496 0.500 0.068 [2 per cell]
Se2 0.498 0.500 0.145 [2 per cell]
S1 0.331 0.000 0.875 [2 per cell]
S2 0.331 0.000 0.946 [2 per cell]